# Tb2UFe3
Calculated powder X-ray diffraction pattern, Cu Kα. Input: a cell relaxed with GGA-PBE.

Atomic structure:
Unit cell a=11.2063 b=3.6804 c=6.9703 alpha=90.00 beta=125.42 gamma=90.00
Element x y z (fractional)
Tb: 0.0000 0.0000 0.0000
Tb: 0.1685 0.0000 0.6413
Tb: 0.5000 0.5000 0.0000
Tb: 0.6685 0.5000 0.6413
U: 0.3552 0.0000 0.2597
U: 0.8552 0.5000 0.2597
Fe: 0.2289 0.5000 0.0204
Fe: 0.2701 0.5000 0.4329
Fe: 0.4564 0.0000 0.6359
Fe: 0.7289 0.0000 0.0204
Fe: 0.7701 0.0000 0.4329
Fe: 0.9564 0.5000 0.6359

Peak list (12 most intense, 5° ≤ 2θ ≤ 70°, in order of rising 2θ)
d/Å	I (rel.)	h k l
3.480	37	2 0 -2
3.414	30	1 1 0
2.844	53	2 0 1
2.737	46	4 0 -1
2.681	29	1 1 1
2.620	100	3 1 -1
2.461	83	1 1 -2
2.221	23	4 0 -3
1.892	35	0 0 3
1.840	29	0 2 0
1.563	21	3 1 -4
1.522	27	1 1 3